Structure and computed powder X-ray diffraction pattern of Ac2Tb3Cd2 (a crystal structure in Alexandria, relaxed with PBE; λ = 1.5418 Å (Cu Kα)).

Crystal structure
a b c (Å): 3.7659 33.0748 3.7262
angles (deg): 90.00 90.00 90.00
Space group Cmmm (No. 65)
Inequivalent atoms, fractional coordinates:
Ac (0.0000, 0.1972, 0.0000) [4 per cell]
Tb (0.0000, 0.0707, 0.0000) [4 per cell]
Tb (0.0000, 0.5000, 0.5000) [2 per cell]
Cd (0.0000, 0.3730, 0.5000) [4 per cell]

Principal peaks in the range 10° ≤ 2θ ≤ 90°, in order of rising 2θ:
d/Å	2θ/deg	I/Imax	index
3.635	24.49	16	0 2 1
3.307	26.96	16	0 10 0
2.945	30.35	98	1 7 0
2.768	32.34	100	0 8 1
2.640	33.95	86	1 1 1
1.883	48.34	19	2 0 0
1.863	48.89	18	0 0 2
1.695	54.12	47	1 15 1
1.574	58.63	30	1 7 2
1.557	59.36	36	2 8 1